The following is a computed powder diffraction line list of Cd3In5. It was derived from DFT lattice parameters and positions (PBE), using Cu Kα (λ = 1.5418 Å).

Most intense lines, 15° ≤ 2θ ≤ 90°, most intense first:
2.718 Å, 2θ 33.0, I 100, hkl 1 3 0; 2.581 Å, 2θ 34.8, I 100, hkl 1 2 3; 2.319 Å, 2θ 38.8, I 96, hkl -1 1 3; 2.744 Å, 2θ 32.6, I 69, hkl 1 -2 0; 2.968 Å, 2θ 30.1, I 66, hkl 0 1 -3; 2.563 Å, 2θ 35.0, I 56, hkl 1 3 -1; 2.816 Å, 2θ 31.8, I 51, hkl 1 2 -2; 2.826 Å, 2θ 31.7, I 50, hkl -1 1 2; 2.604 Å, 2θ 34.4, I 49, hkl 1 -1 3; 2.512 Å, 2θ 35.7, I 44, hkl 2 1 -1

a = 5.5115 Å, b = 8.3307 Å, c = 9.7387 Å
α = 87.25°, β = 80.66°, γ = 71.37°
Atoms (fractional coordinates):
1 Cd 0.1207 0.0010 0.1259
2 Cd 0.2137 0.5722 0.0007
3 Cd 0.3425 0.3270 0.5005
4 Cd 0.6575 0.6730 0.4995
5 Cd 0.7863 0.4278 0.9993
6 Cd 0.8793 0.9990 0.8741
7 In 0.1079 0.6409 0.6882
8 In 0.2145 0.0002 0.5788
9 In 0.2393 0.6440 0.3131
10 In 0.3120 0.2081 0.8380
11 In 0.4799 0.2123 0.1662
12 In 0.5201 0.7877 0.8338
13 In 0.6880 0.7919 0.1620
14 In 0.7607 0.3560 0.6869
15 In 0.7855 0.9998 0.4212
16 In 0.8921 0.3591 0.3118